[1]
# LiV2OF7
Simulated XRD peak list, Cu Kα, 1.54184 Å. Input: DFT lattice parameters and positions (PBE+U).
No peak broadening, texture or thermal motion is included.

Cell and atoms:
Unit cell a=9.512 b=6.053 c=6.577 alpha=90.00 beta=133.15 gamma=90.00
Space group Cm (No. 8)
Symmetry-distinct sites (fractional):
Li (0.000, 0.000, 0.000) x2
V (0.038, 0.257, 0.539) x4
O (0.203, 0.500, 0.697) x2
F (0.016, 0.234, 0.242) x4
F (0.034, 0.233, 0.810) x4
F (0.217, 0.000, 0.707) x2
F (0.344, 0.000, 0.354) x2
F (0.353, 0.500, 0.362) x2

Peak list (12 most intense, 2θ from 10° to 80°, low angle first)
hkl 0 0 1, 18.49°, intensity 100.0; hkl 2 0 -1, 18.68°, intensity 99.5; hkl 2 0 0, 25.67°, intensity 59.9; hkl 2 0 -2, 27.12°, intensity 32.1; hkl 0 2 0, 29.52°, intensity 21.0; hkl 2 2 0, 39.51°, intensity 93.8; hkl 2 0 -3, 43.15°, intensity 22.8; hkl 4 0 -3, 43.42°, intensity 15.5; hkl 2 2 1, 51.52°, intensity 18.8; hkl 4 2 -1, 51.76°, intensity 24.3; hkl 4 0 -4, 55.92°, intensity 17.2; hkl 0 2 3, 66.07°, intensity 15.9

[2]
# LiV2OF5
Simulated XRD peak list, Cu Kα, 1.54184 Å. Input: DFT lattice parameters and positions (PBE+U).
No peak broadening, texture or thermal motion is included.

Cell and atoms:
Unit cell a=4.590 b=8.722 c=8.737 alpha=60.09 beta=89.04 gamma=88.23
Space group P1 (No. 1)
Symmetry-distinct sites (fractional):
Li (0.000, 0.000, 0.000) x1
Li (0.013, 0.670, 0.667) x1
Li (0.498, 0.338, 0.332) x1
V (0.014, 0.323, 0.662) x1
V (0.016, 0.004, 0.340) x1
V (0.016, 0.640, 0.024) x1
V (0.489, 0.997, 0.688) x1
V (0.490, 0.688, 0.344) x1
V (0.491, 0.341, 0.995) x1
O (0.236, 0.114, 0.767) x1
O (0.248, 0.798, 0.433) x1
O (0.268, 0.446, 0.100) x1
F (0.233, 0.122, 0.107) x1
F (0.237, 0.773, 0.795) x1
F (0.245, 0.772, 0.123) x1
F (0.250, 0.443, 0.769) x1
F (0.262, 0.455, 0.443) x1
F (0.277, 0.107, 0.454) x1
F (0.737, 0.222, 0.558) x1
F (0.737, 0.566, 0.226) x1
F (0.742, 0.223, 0.220) x1
F (0.755, 0.230, 0.881) x1
F (0.759, 0.875, 0.898) x1
F (0.759, 0.902, 0.225) x1
F (0.767, 0.900, 0.562) x1
F (0.769, 0.548, 0.892) x1
F (0.770, 0.558, 0.549) x1

Peak list (12 most intense, 2θ from 10° to 80°, low angle first)
hkl 0 1 2, 20.34°, intensity 100.0; hkl 1 2 1, 27.79°, intensity 47.9; hkl 1 1 -1, 27.98°, intensity 91.4; hkl 1 -1 1, 28.43°, intensity 71.4; hkl -1 2 1, 28.68°, intensity 54.3; hkl 1 3 3, 40.39°, intensity 40.9; hkl 1 0 -3, 40.80°, intensity 40.5; hkl 1 -3 0, 41.35°, intensity 39.7; hkl 2 3 3, 53.30°, intensity 42.5; hkl 2 0 -3, 54.02°, intensity 39.0; hkl 2 -3 0, 54.85°, intensity 35.5; hkl 0 3 -3, 63.93°, intensity 35.5

[3]
# Li3V2O4F2
Simulated XRD peak list, Cu Kα, 1.54184 Å. Input: DFT lattice parameters and positions (PBE+U).
No peak broadening, texture or thermal motion is included.

Cell and atoms:
Unit cell a=5.283 b=5.892 c=7.812 alpha=99.71 beta=106.77 gamma=91.38
Space group P-1 (No. 2)
Symmetry-distinct sites (fractional):
Li (0.122, 0.405, 0.146) x2
Li (0.173, 0.911, 0.130) x2
Li (0.370, 0.318, 0.881) x2
V (0.000, 0.000, 0.500) x1
V (0.000, 0.500, 0.500) x1
V (0.497, 0.751, 0.512) x2
O (0.112, 0.718, 0.360) x2
O (0.116, 0.221, 0.360) x2
O (0.412, 0.049, 0.641) x2
O (0.412, 0.535, 0.640) x2
F (0.201, 0.143, 0.997) x2
F (0.254, 0.609, 0.009) x2

Peak list (12 most intense, 2θ from 10° to 80°, low angle first)
hkl 0 0 1, 12.04°, intensity 100.0; hkl 0 0 2, 24.21°, intensity 33.9; hkl 2 0 -1, 33.99°, intensity 7.1; hkl 1 -2 0, 34.51°, intensity 8.2; hkl 1 2 -1, 35.27°, intensity 7.6; hkl 2 0 0, 35.60°, intensity 4.9; hkl 2 0 1, 41.15°, intensity 20.7; hkl -1 2 2, 42.85°, intensity 18.9; hkl 1 2 -3, 43.98°, intensity 17.0; hkl -3 2 1, 60.66°, intensity 5.1; hkl 3 2 -2, 62.16°, intensity 7.4; hkl 0 4 -1, 63.14°, intensity 4.8

[4]
# Li2VO2F
Simulated XRD peak list, Cu Kα, 1.54184 Å. Input: DFT lattice parameters and positions (PBE+U).
No peak broadening, texture or thermal motion is included.

Cell and atoms:
Unit cell a=15.665 b=3.009 c=10.054 alpha=90.00 beta=109.52 gamma=90.00
Space group Cm (No. 8)
Symmetry-distinct sites (fractional):
Li (0.000, 0.000, 0.000) x2
Li (0.000, 0.500, 0.238) x2
Li (0.017, 0.000, 0.505) x2
Li (0.017, 0.500, 0.758) x2
Li (0.359, 0.000, 0.338) x2
Li (0.361, 0.500, 0.594) x2
Li (0.365, 0.000, 0.853) x2
Li (0.372, 0.500, 0.076) x2
V (0.187, 0.500, 0.665) x2
V (0.190, 0.000, 0.436) x2
V (0.190, 0.000, 0.924) x2
V (0.194, 0.500, 0.158) x2
O (0.109, 0.500, 0.463) x2
O (0.113, 0.500, 0.963) x2
O (0.115, 0.000, 0.715) x2
O (0.255, 0.500, 0.369) x2
O (0.258, 0.500, 0.871) x2
O (0.267, 0.000, 0.130) x2
O (0.268, 0.000, 0.630) x2
O (0.439, 0.000, 0.045) x2
F (0.112, 0.000, 0.215) x2
F (0.436, 0.000, 0.545) x2
F (0.437, 0.500, 0.307) x2
F (0.440, 0.500, 0.786) x2

Peak list (12 most intense, 2θ from 10° to 80°, low angle first)
hkl 2 0 0, 11.99°, intensity 100.0; hkl 4 0 0, 24.11°, intensity 29.9; hkl 1 1 -2, 34.75°, intensity 14.4; hkl 2 0 -4, 35.72°, intensity 6.9; hkl 3 1 -2, 36.80°, intensity 9.6; hkl 5 1 -2, 42.59°, intensity 44.4; hkl 3 1 2, 42.89°, intensity 5.9; hkl 2 0 4, 43.86°, intensity 19.9; hkl 0 2 0, 61.61°, intensity 10.9; hkl 7 1 2, 62.00°, intensity 16.2; hkl 3 1 -6, 63.55°, intensity 10.2; hkl 2 2 4, 78.70°, intensity 5.1

Please write out number 3 again, unchanged.
# Li3V2O4F2
Simulated XRD peak list, Cu Kα, 1.54184 Å. Input: DFT lattice parameters and positions (PBE+U).
No peak broadening, texture or thermal motion is included.

Cell and atoms:
Unit cell a=5.283 b=5.892 c=7.812 alpha=99.71 beta=106.77 gamma=91.38
Space group P-1 (No. 2)
Symmetry-distinct sites (fractional):
Li (0.122, 0.405, 0.146) x2
Li (0.173, 0.911, 0.130) x2
Li (0.370, 0.318, 0.881) x2
V (0.000, 0.000, 0.500) x1
V (0.000, 0.500, 0.500) x1
V (0.497, 0.751, 0.512) x2
O (0.112, 0.718, 0.360) x2
O (0.116, 0.221, 0.360) x2
O (0.412, 0.049, 0.641) x2
O (0.412, 0.535, 0.640) x2
F (0.201, 0.143, 0.997) x2
F (0.254, 0.609, 0.009) x2

Peak list (12 most intense, 2θ from 10° to 80°, low angle first)
hkl 0 0 1, 12.04°, intensity 100.0; hkl 0 0 2, 24.21°, intensity 33.9; hkl 2 0 -1, 33.99°, intensity 7.1; hkl 1 -2 0, 34.51°, intensity 8.2; hkl 1 2 -1, 35.27°, intensity 7.6; hkl 2 0 0, 35.60°, intensity 4.9; hkl 2 0 1, 41.15°, intensity 20.7; hkl -1 2 2, 42.85°, intensity 18.9; hkl 1 2 -3, 43.98°, intensity 17.0; hkl -3 2 1, 60.66°, intensity 5.1; hkl 3 2 -2, 62.16°, intensity 7.4; hkl 0 4 -1, 63.14°, intensity 4.8